Record 1
Simulated powder XRD pattern of TbTlCu3S4 for a wavelength of 1.5418 Å, from a cell relaxed with GGA-PBE.
Kinematic intensities with the Lorentz-polarization factor, no thermal factor.

a = 5.863 Å, b = 6.969 Å, c = 9.865 Å
α = 90.00°, β = 101.99°, γ = 90.00°
Space group P2_1/m (No. 11)
Unique sites:
Tb: 0.091 0.250 0.299 x2
Tl: 0.247 0.250 0.905 x2
Cu: 0.293 0.560 0.524 x4
Cu: 0.437 0.750 0.776 x2
S: 0.028 0.250 0.559 x2
S: 0.218 0.750 0.933 x2
S: 0.407 0.518 0.299 x4

Principal peaks in the range 2θ = 5–70°, in order of rising 2θ:
hkl 1 1 0, 2θ = 20.05°, rel. 78
hkl 0 1 2, 2θ = 22.41°, rel. 92
hkl 1 1 1, 2θ = 23.41°, rel. 74
hkl 0 2 0, 2θ = 25.56°, rel. 78
hkl 0 2 1, 2θ = 27.21°, rel. 77
hkl 0 1 3, 2θ = 30.61°, rel. 96
hkl 1 1 -4, 2θ = 39.57°, rel. 71
hkl 2 2 1, 2θ = 43.37°, rel. 100

Record 2
Simulated powder XRD pattern of AuI2 for a wavelength of 1.5418 Å, from a cell relaxed with GGA-PBE.
Kinematic intensities with the Lorentz-polarization factor, no thermal factor.

a = 4.2841 Å, b = 4.2841 Å, c = 24.1559 Å
α = 90.00°, β = 90.00°, γ = 120.00°
Space group P6_3mc (No. 186)
Unique sites:
Au: 0.3333 0.6667 0.0000 x2
Au: 0.3333 0.6667 0.2484 x2
I: 0.0000 0.0000 0.0675 x2
I: 0.0000 0.0000 0.3167 x2
I: 0.3333 0.6667 0.4343 x2
I: 0.3333 0.6667 0.6824 x2

Principal peaks in the range 2θ = 5–70°, in order of rising 2θ:
hkl 0 0 4, 2θ = 14.67°, rel. 45
hkl 1 0 3, 2θ = 26.45°, rel. 35
hkl 1 0 4, 2θ = 28.23°, rel. 100
hkl 1 0 5, 2θ = 30.38°, rel. 54
hkl 1 0 7, 2θ = 35.53°, rel. 41
hkl 1 0 8, 2θ = 38.44°, rel. 25
hkl 1 0 9, 2θ = 41.53°, rel. 30
hkl 1 1 0, 2θ = 42.19°, rel. 72